(1)
For Ba3Ti2O6, the GGA-PBE geometry in Alexandria gives the theoretical X-ray powder pattern in this record (Cu Ka).
Kinematic intensities with the Lorentz-polarization factor, no thermal factor.

Crystal structure
Lattice parameters (Å, degrees): 4.0281 4.0281 21.9563 90.00 90.00 90.00
Space group I4/mmm (No. 139)
One atom of each set of equivalent atoms:
Ba 0.0000 0.0000 0.0000 [2 per cell]
Ba 0.0000 0.0000 0.1824 [4 per cell]
Ti 0.0000 0.0000 0.3994 [4 per cell]
O 0.0000 0.0000 0.3109 [4 per cell]
O 0.0000 0.5000 0.0927 [8 per cell]

Peak list (12 most intense, 5 to 70 degrees two-theta, low angle first)
2θ/deg	d/Å	I_rel
22.4	3.962	26
24.3	3.659	13
30.1	2.968	100
31.4	2.848	53
40.1	2.248	33
41.1	2.196	11
45.0	2.014	31
51.1	1.788	11
52.6	1.739	11
55.1	1.667	36
62.6	1.484	11
65.5	1.424	9

***

(2)
For BaTi8O16, the GGA-PBE geometry in Alexandria gives the theoretical X-ray powder pattern in this record (Cu Ka).
Kinematic intensities with the Lorentz-polarization factor, no thermal factor.

Crystal structure
Lattice parameters (Å, degrees): 20.4213 5.9548 14.4460 90.00 134.89 90.00
Space group C2/c (No. 15)
One atom of each set of equivalent atoms:
Ba 0.0000 0.1252 0.2500 [4 per cell]
Ti 0.0890 0.3738 0.0745 [8 per cell]
Ti 0.0935 0.1242 0.5888 [8 per cell]
Ti 0.2352 0.3757 0.8962 [8 per cell]
Ti 0.2449 0.1263 0.4013 [8 per cell]
O 0.0228 0.1201 0.9492 [8 per cell]
O 0.0237 0.3714 0.4520 [8 per cell]
O 0.1450 0.1291 0.2096 [8 per cell]
O 0.1472 0.3796 0.7084 [8 per cell]
O 0.1765 0.3706 0.4044 [8 per cell]
O 0.1784 0.1209 0.9053 [8 per cell]
O 0.1864 0.1208 0.5824 [8 per cell]
O 0.1896 0.3704 0.0877 [8 per cell]

Peak list (12 most intense, 5 to 70 degrees two-theta, low angle first)
2θ/deg	d/Å	I_rel
16.1	5.506	27
20.3	4.380	32
24.6	3.614	18
26.8	3.326	20
27.6	3.233	100
29.6	3.022	14
36.0	2.495	48
39.4	2.287	15
40.2	2.242	44
47.7	1.905	32
57.6	1.601	31
66.4	1.408	14

***

(3)
For Ba4Ti3O10, the GGA-PBE geometry in Alexandria gives the theoretical X-ray powder pattern in this record (Cu Ka).
Kinematic intensities with the Lorentz-polarization factor, no thermal factor.

Crystal structure
Lattice parameters (Å, degrees): 5.7904 29.3395 5.8275 90.00 90.00 90.00
Space group Fmm2 (No. 42)
One atom of each set of equivalent atoms:
Ba 0.0000 0.0676 0.0000 [8 per cell]
Ba 0.0000 0.2013 0.0022 [8 per cell]
Ti 0.0000 0.0000 0.4838 [4 per cell]
Ti 0.0000 0.1374 0.4853 [8 per cell]
O 0.0000 0.0681 0.5209 [8 per cell]
O 0.0000 0.2038 0.5201 [8 per cell]
O 0.2424 0.0000 0.2742 [8 per cell]
O 0.2429 0.1369 0.2721 [16 per cell]

Peak list (12 most intense, 5 to 70 degrees two-theta, low angle first)
2θ/deg	d/Å	I_rel
21.8	4.068	19
24.3	3.667	12
30.5	2.934	100
30.7	2.914	31
30.9	2.895	31
39.5	2.281	17
39.7	2.272	17
43.2	2.096	12
44.1	2.054	37
54.4	1.686	19
54.7	1.679	19
63.4	1.467	13

***

(4)
For BaTi2O5, the GGA-PBE geometry in Alexandria gives the theoretical X-ray powder pattern in this record (Cu Ka).
Kinematic intensities with the Lorentz-polarization factor, no thermal factor.

Crystal structure
Lattice parameters (Å, degrees): 17.0282 3.9636 9.6279 90.00 102.84 90.00
Space group C2 (No. 5)
One atom of each set of equivalent atoms:
Ba 0.0000 0.0000 0.0000 [2 per cell]
Ba 0.1320 0.0024 0.4858 [4 per cell]
Ti 0.0384 0.5299 0.7092 [4 per cell]
Ti 0.1668 0.4946 0.1969 [4 per cell]
Ti 0.2061 0.4897 0.8731 [4 per cell]
O 0.0000 0.4891 0.5000 [2 per cell]
O 0.0341 0.9828 0.7077 [4 per cell]
O 0.0577 0.4882 0.2100 [4 per cell]
O 0.1076 0.4948 0.9240 [4 per cell]
O 0.1526 0.4940 0.6867 [4 per cell]
O 0.1753 0.9931 0.1632 [4 per cell]
O 0.2102 0.4969 0.3783 [4 per cell]
O 0.2356 0.9925 0.8993 [4 per cell]

Peak list (12 most intense, 5 to 70 degrees two-theta, low angle first)
2θ/deg	d/Å	I_rel
21.4	4.153	24
25.3	3.518	62
28.1	3.175	100
29.2	3.058	66
30.5	2.934	46
30.8	2.906	48
31.8	2.817	48
34.9	2.570	22
37.4	2.406	23
42.3	2.137	28
43.6	2.076	43
45.8	1.982	43

***

(5)
For BaTi8O16, the GGA-PBE geometry in Alexandria gives the theoretical X-ray powder pattern in this record (Cu Ka).
Kinematic intensities with the Lorentz-polarization factor, no thermal factor.

Crystal structure
Lattice parameters (Å, degrees): 5.9541 7.3617 7.4048 88.26 78.34 78.25
Space group P-1 (No. 2)
One atom of each set of equivalent atoms:
Ba 0.0000 0.0000 0.0000 [1 per cell]
Ti 0.0748 0.5090 0.1859 [2 per cell]
Ti 0.1693 0.8126 0.5112 [2 per cell]
Ti 0.3381 0.1777 0.4684 [2 per cell]
Ti 0.4255 0.4733 0.8215 [2 per cell]
O 0.0236 0.2960 0.6230 [2 per cell]
O 0.1466 0.0429 0.3528 [2 per cell]
O 0.1665 0.6324 0.7129 [2 per cell]
O 0.1694 0.3530 0.9520 [2 per cell]
O 0.3229 0.6433 0.0491 [2 per cell]
O 0.3366 0.3753 0.2918 [2 per cell]
O 0.3462 0.9570 0.6431 [2 per cell]
O 0.4843 0.7024 0.3805 [2 per cell]

Peak list (12 most intense, 5 to 70 degrees two-theta, low angle first)
2θ/deg	d/Å	I_rel
15.5	5.711	43
17.8	4.996	59
21.7	4.099	44
27.4	3.254	42
27.5	3.242	100
27.7	3.224	99
27.8	3.213	43
36.0	2.496	97
40.1	2.247	63
40.3	2.237	61
47.9	1.898	44
57.5	1.603	45

***

(6)
For Ba2Ti2O5, the GGA-PBE geometry in Alexandria gives the theoretical X-ray powder pattern in this record (Cu Ka).
Kinematic intensities with the Lorentz-polarization factor, no thermal factor.

Crystal structure
Lattice parameters (Å, degrees): 5.8322 16.0720 5.8242 90.00 90.00 90.00
Space group Imma (No. 74)
One atom of each set of equivalent atoms:
Ba 0.0000 0.1179 0.0029 [8 per cell]
Ti 0.0000 0.0000 0.5000 [4 per cell]
Ti 0.0000 0.2500 0.5383 [4 per cell]
O 0.0000 0.1308 0.4795 [8 per cell]
O 0.2500 0.0036 0.7500 [8 per cell]
O 0.2500 0.2500 0.7500 [4 per cell]

Peak list (12 most intense, 5 to 70 degrees two-theta, low angle first)
2θ/deg	d/Å	I_rel
21.6	4.121	21
22.1	4.018	12
30.7	2.914	58
31.1	2.877	100
38.1	2.359	34
43.9	2.061	34
45.1	2.009	15
49.7	1.834	6
54.8	1.675	39
55.6	1.654	19
63.9	1.457	10
64.8	1.438	18